# CdBrO
Computed X-ray diffraction stick pattern, Cu Kα, 1.54184 Å. Input: the PBE geometry in the Materials Project.
Peak positions follow from Bragg's law for the DFT cell and can differ from measured ones.

Crystal structure
```
CdBrO
1.0
5.515 0.000 0.000
0.000 7.513 0.000
-2.768 0.000 6.160
Cd Br O
4 4 4
direct
0.007 0.128 0.286
0.007 0.372 0.786
0.993 0.628 0.214
0.993 0.872 0.714
0.366 0.606 0.689
0.366 0.894 0.189
0.634 0.106 0.811
0.634 0.394 0.311
0.138 0.138 0.656
0.138 0.362 0.156
0.862 0.638 0.844
0.862 0.862 0.344
```

Principal peaks in the range 2θ = 15–90°, low angle first:
(1 0 0), 2θ 17.63, I 222; (0 0 2), 2θ 28.99, I 373; (1 2 -1), 2θ 29.66, I 1000; (2 1 -1), 2θ 34.65, I 106; (2 0 -2), 2θ 35.67, I 228; (1 2 1), 2θ 36.29, I 219; (2 2 -1), 2θ 40.58, I 110; (1 2 -3), 2θ 47.06, I 219; (0 4 0), 2θ 48.47, I 124; (2 2 1), 2θ 50.67, I 133

# CdBr2O4
Computed X-ray diffraction stick pattern, Cu Kα, 1.54184 Å. Input: the PBE geometry in the Materials Project.
Peak positions follow from Bragg's law for the DFT cell and can differ from measured ones.

Crystal structure
```
CdBr2O4
1.0
3.905 0.000 0.000
0.088 6.628 0.000
0.772 1.587 10.324
Cd Br O
2 4 8
direct
0.000 0.000 0.000
0.438 0.392 0.446
0.274 0.580 0.846
0.466 0.900 0.227
0.581 0.008 0.714
0.988 0.424 0.179
0.003 0.669 0.975
0.102 0.679 0.542
0.222 0.235 0.102
0.533 0.068 0.876
0.635 0.648 0.288
0.720 0.236 0.614
0.780 0.683 0.550
0.976 0.304 0.350
```

Principal peaks in the range 2θ = 15–90°, low angle first:
(0 1 -1), 2θ 17.10, I 427; (1 0 1), 2θ 23.83, I 340; (0 2 1), 2θ 27.27, I 1000; (1 0 2), 2θ 27.67, I 371; (1 1 -1), 2θ 29.15, I 303; (1 1 2), 2θ 29.69, I 406; (0 1 -3), 2θ 31.14, I 596; (-1 1 2), 2θ 31.65, I 678; (1 -1 2), 2θ 32.11, I 338; (1 1 -2), 2θ 33.88, I 406

# CdBr2O8
Computed X-ray diffraction stick pattern, Cu Kα, 1.54184 Å. Input: the PBE geometry in the Materials Project.
Peak positions follow from Bragg's law for the DFT cell and can differ from measured ones.

Crystal structure
```
CdBr2O8
1.0
6.215 0.000 0.000
0.000 9.361 0.000
0.000 0.000 12.664
Cd Br O
4 8 32
direct
0.062 0.072 0.219
0.438 0.928 0.719
0.562 0.428 0.781
0.938 0.572 0.281
0.181 0.660 0.616
0.217 0.218 0.611
0.283 0.782 0.111
0.319 0.340 0.116
0.681 0.840 0.384
0.717 0.282 0.389
0.783 0.718 0.889
0.819 0.160 0.884
0.073 0.778 0.200
0.089 0.258 0.078
0.105 0.766 0.717
0.168 0.040 0.619
0.178 0.758 0.991
0.203 0.521 0.405
0.237 0.984 0.367
0.245 0.497 0.171
0.255 0.503 0.671
0.263 0.016 0.867
0.297 0.479 0.905
0.322 0.242 0.491
0.332 0.960 0.119
0.395 0.234 0.217
0.411 0.742 0.578
0.427 0.222 0.700
0.573 0.722 0.800
0.589 0.242 0.922
0.605 0.734 0.283
0.668 0.460 0.381
0.678 0.742 0.009
0.703 0.979 0.595
0.737 0.516 0.633
0.745 0.003 0.829
0.755 0.997 0.329
0.763 0.484 0.133
0.797 0.021 0.095
0.822 0.258 0.509
0.832 0.540 0.881
0.895 0.266 0.783
0.911 0.758 0.422
0.927 0.278 0.300
```

Principal peaks in the range 2θ = 15–90°, low angle first:
(1 0 1), 2θ 15.88, I 295; (1 0 2), 2θ 20.02, I 1000; (1 2 0), 2θ 23.80, I 265; (1 2 1), 2θ 24.83, I 418; (1 0 3), 2θ 25.51, I 224; (1 2 2), 2θ 27.71, I 459; (0 2 3), 2θ 28.47, I 353; (2 2 1), 2θ 35.39, I 183; (2 0 4), 2θ 40.68, I 211; (1 2 5), 2θ 43.18, I 231

# CdBr2O4
Computed X-ray diffraction stick pattern, Cu Kα, 1.54184 Å. Input: the PBE geometry in the Materials Project.
Peak positions follow from Bragg's law for the DFT cell and can differ from measured ones.

Crystal structure
```
CdBr2O4
1.0
3.704 0.000 0.000
0.000 9.518 0.000
-3.380 0.000 6.802
Cd Br O
2 4 8
direct
0.000 0.000 0.000
0.000 0.500 0.500
0.431 0.179 0.502
0.431 0.321 0.002
0.569 0.679 0.998
0.569 0.821 0.498
0.422 0.144 0.919
0.422 0.356 0.419
0.447 0.078 0.314
0.447 0.422 0.814
0.553 0.578 0.186
0.553 0.922 0.686
0.578 0.644 0.581
0.578 0.856 0.081
```

Principal peaks in the range 2θ = 15–90°, low angle first:
(0 1 1), 2θ 16.02, I 212; (1 1 -1), 2θ 25.84, I 844; (0 0 2), 2θ 26.20, I 966; (0 3 1), 2θ 31.10, I 1000; (1 2 0), 2θ 32.92, I 557; (1 2 -2), 2θ 33.85, I 652; (1 1 1), 2θ 36.27, I 315; (0 3 3), 2θ 49.41, I 334; (1 2 2), 2θ 49.99, I 214; (0 6 2), 2θ 64.84, I 189